# 1
This entry pairs a crystal structure of La2Tb9Tm with its theoretical powder diffractogram. Radiation: λ = 1.5418 Å (Cu Kα). Structure: the PBE geometry in Alexandria.

Structure:
a b c (Å): 5.0723 5.0723 15.2412
angles (deg): 90.00 90.00 90.00
Fractional positions:
La1 0.0000 0.0000 0.1670
La2 0.0000 0.0000 0.8330
Tb1 0.0000 0.5000 0.0000
Tb2 0.0000 0.5000 0.3375
Tb3 0.0000 0.5000 0.6625
Tb4 0.5000 0.0000 0.0000
Tb5 0.5000 0.0000 0.3375
Tb6 0.5000 0.0000 0.6625
Tb7 0.5000 0.5000 0.1693
Tb8 0.5000 0.5000 0.5000
Tb9 0.5000 0.5000 0.8307
Tm1 0.0000 0.0000 0.5000

Main lines, in order of rising 2θ (2θ = 5–70°):
2θ/deg, I (rel.)
5.80, 1
30.51, 100
35.37, 51
50.89, 36
60.51, 43
63.50, 12



# 2
This entry pairs a crystal structure of LaTb4Tm4 with its theoretical powder diffractogram. Radiation: λ = 1.5418 Å (Cu Kα). Structure: the PBE geometry in Alexandria.

Structure:
a b c (Å): 6.7612 8.6418 10.6036
angles (deg): 78.30 74.94 76.28
Fractional positions:
La1 0.2406 0.4678 0.2165
La2 0.7594 0.5322 0.7835
Tb1 0.0875 0.1635 0.4619
Tb2 0.3785 0.8320 0.6305
Tb3 0.3863 0.8397 0.9621
Tb4 0.3918 0.8373 0.2963
Tb5 0.6082 0.1627 0.7037
Tb6 0.6137 0.1603 0.0379
Tb7 0.6215 0.1680 0.3695
Tb8 0.9125 0.8365 0.5381
Tm1 0.0818 0.1681 0.7931
Tm2 0.0845 0.1629 0.1227
Tm3 0.2428 0.4776 0.8794
Tm4 0.2462 0.4777 0.5475
Tm5 0.7538 0.5223 0.4525
Tm6 0.7572 0.5224 0.1206
Tm7 0.9155 0.8371 0.8773
Tm8 0.9182 0.8319 0.2069

Main lines, in order of rising 2θ (2θ = 5–70°):
2θ/deg, I (rel.)
30.08, 39
31.53, 26
31.56, 25
31.83, 100
32.36, 48
32.66, 48



# 3
This entry pairs a crystal structure of LaTbTm with its theoretical powder diffractogram. Radiation: λ = 1.5418 Å (Cu Kα). Structure: the PBE geometry in Alexandria.

Structure:
a b c (Å): 8.0137 8.0137 8.0137
angles (deg): 153.93 153.93 37.20
Fractional positions:
La1 0.0000 0.0000 0.0000
Tb1 0.6713 0.6713 0.0000
Tm1 0.3311 0.3311 0.0000

Main lines, in order of rising 2θ (2θ = 5–70°):
2θ/deg, I (rel.)
30.38, 100
35.11, 34
35.46, 16
50.76, 24
60.08, 29
60.54, 14



# 4
This entry pairs a crystal structure of La2Tb4Tm5 with its theoretical powder diffractogram. Radiation: λ = 1.5418 Å (Cu Kα). Structure: the PBE geometry in Alexandria.

Structure:
a b c (Å): 3.5743 9.0628 12.1279
angles (deg): 68.34 81.82 89.56
Fractional positions:
La1 0.1294 0.4275 0.2749
La2 0.8706 0.5725 0.7251
Tb1 0.0697 0.7097 0.4159
Tb2 0.3104 0.1601 0.8654
Tb3 0.6896 0.8399 0.1346
Tb4 0.9303 0.2903 0.5841
Tm1 0.1311 0.0753 0.2410
Tm2 0.2653 0.6634 0.9677
Tm3 0.5000 0.0000 0.5000
Tm4 0.7347 0.3366 0.0323
Tm5 0.8689 0.9247 0.7590

Main lines, in order of rising 2θ (2θ = 5–70°):
2θ/deg, I (rel.)
29.68, 64
29.84, 91
31.27, 100
31.96, 59
32.07, 72
32.25, 84